Simulated powder diffraction line list of Zn3P2O12 for Cu Kα (weighted mean of Kα1 and Kα2), from a crystal structure in Alexandria, relaxed with GGA-PBE.
Intensities are scaled so that the largest is 100.

The 10 most intense peaks (2θ from 5° to 70°), most intense first:
hkl, two_theta, intensity
1 0 -2, 26.26, 100.0
2 0 -1, 31.73, 91.8
1 0 0, 16.37, 65.7
1 0 -1, 17.59, 60.3
-1 1 1, 25.93, 58.1
0 2 -2, 32.69, 54.3
1 0 1, 23.76, 53.5
0 2 -1, 29.80, 49.2
0 0 1, 12.89, 35.7
1 -2 1, 34.18, 34.6

a = 5.670 Å, b = 5.997 Å, c = 7.758 Å
α = 112.00°, β = 105.85°, γ = 90.33°
Space group P-1 (No. 2)
Inequivalent atoms, fractional coordinates:
Zn (0.000, 0.000, 0.000) x1
Zn (0.145, 0.685, 0.369) x2
P (0.256, 0.193, 0.382) x2
O (0.139, 0.323, 0.238) x2
O (0.145, 0.919, 0.238) x2
O (0.161, 0.276, 0.560) x2
O (0.394, 0.190, 0.932) x2
O (0.412, 0.696, 0.945) x2
O (0.464, 0.780, 0.568) x2

=====

Simulated powder diffraction line list of ScNbRu2 for Cu Kα (weighted mean of Kα1 and Kα2), from a crystal structure in Alexandria, relaxed with GGA-PBE.
Intensities are scaled so that the largest is 100.

The 10 most intense peaks (2θ from 5° to 70°), most intense first:
hkl, two_theta, intensity
1 1 2, 39.94, 100.0
2 0 0, 39.65, 20.7
2 0 4, 57.53, 13.0
0 0 1, 9.79, 8.3
0 2 0, 58.00, 6.6
1 0 2, 27.84, 3.7
1 0 1, 21.89, 3.5
0 1 0, 28.06, 1.9
1 1 3, 46.06, 1.4
0 1 3, 41.29, 1.4

a = 4.546 Å, b = 3.180 Å, c = 9.033 Å
α = 90.00°, β = 90.00°, γ = 90.00°
Space group Pmma (No. 51)
Inequivalent atoms, fractional coordinates:
Sc (0.250, 0.000, 0.122) x2
Nb (0.250, 0.000, 0.629) x2
Ru (0.250, 0.500, 0.383) x2
Ru (0.250, 0.500, 0.865) x2

=====

Simulated powder diffraction line list of Ce3Pr4Tc2 for Cu Kα (weighted mean of Kα1 and Kα2), from a crystal structure in Alexandria, relaxed with GGA-PBE.
Intensities are scaled so that the largest is 100.

The 10 most intense peaks (2θ from 5° to 70°), most intense first:
hkl, two_theta, intensity
0 1 2, 29.55, 100.0
1 2 0, 34.80, 95.6
1 1 -2, 28.32, 89.9
0 2 -3, 31.60, 85.8
1 -2 0, 31.25, 62.9
0 3 -1, 30.27, 57.6
1 -2 1, 31.82, 47.2
2 0 -1, 47.98, 46.9
1 2 -3, 36.32, 42.6
-1 4 1, 54.48, 38.4

a = 3.792 Å, b = 8.915 Å, c = 8.924 Å
α = 115.67°, β = 102.17°, γ = 90.00°
Space group P-1 (No. 2)
Inequivalent atoms, fractional coordinates:
Ce (0.000, 0.000, 0.000) x1
Ce (0.074, 0.694, 0.148) x2
Pr (0.231, 0.150, 0.461) x2
Pr (0.378, 0.621, 0.754) x2
Tc (0.411, 0.105, 0.829) x2

=====

Simulated powder diffraction line list of PuCd2Pd5 for Cu Kα (weighted mean of Kα1 and Kα2), from a crystal structure in Alexandria, relaxed with GGA-PBE.
Intensities are scaled so that the largest is 100.

The 10 most intense peaks (2θ from 5° to 70°), most intense first:
hkl, two_theta, intensity
2 0 4, 37.64, 100.0
2 2 0, 42.91, 34.5
2 2 8, 64.21, 20.4
0 0 8, 45.36, 14.6
4 0 0, 62.31, 11.2
1 1 1, 21.81, 5.5
0 0 2, 11.06, 4.6
1 1 3, 26.97, 4.3
2 0 2, 32.05, 2.2
2 0 0, 29.98, 1.7

a = 5.961 Å, b = 5.961 Å, c = 15.995 Å
α = 90.00°, β = 90.00°, γ = 90.00°
Space group Fmmm (No. 69)
Inequivalent atoms, fractional coordinates:
Pu (0.000, 0.000, 0.000) x4
Cd (0.000, 0.000, 0.253) x8
Pd (0.000, 0.000, 0.500) x4
Pd (0.250, 0.250, 0.126) x16

=====

Simulated powder diffraction line list of La4Tb2PmDy for Cu Kα (weighted mean of Kα1 and Kα2), from a crystal structure in Alexandria, relaxed with GGA-PBE.
Intensities are scaled so that the largest is 100.

The 10 most intense peaks (2θ from 5° to 70°), most intense first:
hkl, two_theta, intensity
1 1 2, 29.91, 100.0
0 2 0, 34.09, 17.7
2 0 0, 34.36, 17.3
0 0 4, 35.55, 15.8
1 3 2, 58.46, 15.0
3 1 2, 58.81, 14.7
1 1 6, 60.39, 13.6
2 2 0, 49.18, 12.6
2 2 4, 62.14, 12.5
0 2 4, 50.08, 11.9

a = 5.220 Å, b = 5.260 Å, c = 10.102 Å
α = 90.00°, β = 90.00°, γ = 90.00°
Space group Pmmm (No. 47)
Inequivalent atoms, fractional coordinates:
La (0.000, 0.000, 0.248) x2
La (0.500, 0.500, 0.248) x2
Tb (0.000, 0.500, 0.000) x1
Tb (0.500, 0.000, 0.500) x1
Pm (0.000, 0.500, 0.500) x1
Dy (0.500, 0.000, 0.000) x1

=====

Simulated powder diffraction line list of Tm7SnRu4 for Cu Kα (weighted mean of Kα1 and Kα2), from a crystal structure in Alexandria, relaxed with GGA-PBE.
Intensities are scaled so that the largest is 100.

The 10 most intense peaks (2θ from 5° to 70°), most intense first:
hkl, two_theta, intensity
0 2 0, 32.98, 100.0
3 1 1, 37.02, 48.1
5 1 -3, 38.96, 34.2
1 1 2, 33.28, 23.4
4 0 -1, 27.74, 22.3
4 0 -3, 30.83, 18.6
5 1 -1, 39.60, 16.8
2 2 -4, 52.28, 15.5
1 1 -2, 25.46, 14.1
4 2 -1, 43.62, 13.5

a = 13.401 Å, b = 5.432 Å, c = 9.520 Å
α = 90.00°, β = 126.00°, γ = 90.00°
Space group C2/m (No. 12)
Inequivalent atoms, fractional coordinates:
Tm (0.000, 0.000, 0.000) x2
Tm (0.074, 0.500, 0.373) x4
Tm (0.181, 0.000, 0.632) x4
Tm (0.214, 0.500, 0.877) x4
Sn (0.000, 0.500, 0.000) x2
Ru (0.065, 0.000, 0.776) x4
Ru (0.199, 0.000, 0.351) x4

=====

Simulated powder diffraction line list of Rb2ScWBr6 for Cu Kα (weighted mean of Kα1 and Kα2), from a crystal structure in Alexandria, relaxed with GGA-PBE.
Intensities are scaled so that the largest is 100.

The 10 most intense peaks (2θ from 5° to 70°), most intense first:
hkl, two_theta, intensity
4 0 0, 33.59, 100.0
4 4 0, 48.23, 70.4
2 2 2, 28.98, 48.6
2 2 0, 23.58, 34.4
2 0 0, 16.61, 34.2
1 1 1, 14.37, 27.8
4 4 4, 60.06, 24.1
6 2 2, 57.26, 19.8
4 2 0, 37.69, 17.1
4 2 2, 41.45, 15.4

a = 10.673 Å, b = 10.673 Å, c = 10.673 Å
α = 90.00°, β = 90.00°, γ = 90.00°
Space group Fm-3m (No. 225)
Inequivalent atoms, fractional coordinates:
Rb (0.250, 0.250, 0.250) x8
Sc (0.000, 0.000, 0.000) x4
W (0.000, 0.000, 0.500) x4
Br (0.000, 0.000, 0.255) x24

=====

Simulated powder diffraction line list of KRbTeF6 for Cu Kα (weighted mean of Kα1 and Kα2), from a crystal structure in Alexandria, relaxed with GGA-PBE.
Intensities are scaled so that the largest is 100.

The 10 most intense peaks (2θ from 5° to 70°), most intense first:
hkl, two_theta, intensity
1 0 1, 25.63, 100.0
1 1 0, 27.38, 67.5
0 2 1, 37.86, 58.4
1 0 0, 15.71, 47.3
3 -1 1, 47.35, 41.1
3 -2 2, 60.37, 26.5
0 1 2, 44.07, 25.4
3 0 0, 48.41, 20.5
2 0 2, 52.67, 19.5
2 -1 1, 34.22, 19.5

a = 6.5137 Å, b = 6.5137 Å, c = 4.4132 Å
α = 90.00°, β = 90.00°, γ = 120.00°
Space group P3 (No. 143)
Inequivalent atoms, fractional coordinates:
K (0.0000, 0.0000, 0.0000) x1
Rb (0.6667, 0.3333, 0.3749) x1
Te (0.3333, 0.6667, 0.6490) x1
F (0.0675, 0.4743, 0.9408) x3
F (0.0751, 0.7638, 0.5052) x3

=====

Simulated powder diffraction line list of DyNp4O10 for Cu Kα (weighted mean of Kα1 and Kα2), from a crystal structure in Alexandria, relaxed with GGA-PBE.
Intensities are scaled so that the largest is 100.

The 9 most intense peaks (2θ from 5° to 70°), most intense first:
hkl, two_theta, intensity
1 0 5, 28.77, 100.0
2 0 0, 47.87, 49.2
2 1 5, 56.82, 46.3
1 1 0, 33.34, 36.5
2 0 10, 59.59, 10.4
0 0 2, 6.58, 1.7
1 0 3, 25.46, 0.9
1 0 1, 23.65, 0.7
0 0 4, 13.17, 0.5

a = 3.800 Å, b = 3.800 Å, c = 26.881 Å
α = 90.00°, β = 90.00°, γ = 90.00°
Space group I4/mmm (No. 139)
Inequivalent atoms, fractional coordinates:
Dy (0.000, 0.000, 0.000) x2
Np (0.000, 0.000, 0.200) x4
Np (0.000, 0.000, 0.402) x4
O (0.000, 0.500, 0.052) x8
O (0.000, 0.500, 0.150) x8
O (0.000, 0.500, 0.250) x4

=====

Simulated powder diffraction line list of Er3Ni6Sn5 for Cu Kα (weighted mean of Kα1 and Kα2), from a crystal structure in Alexandria, relaxed with GGA-PBE.
Intensities are scaled so that the largest is 100.

The 10 most intense peaks (2θ from 5° to 70°), most intense first:
hkl, two_theta, intensity
1 3 0, 34.76, 100.0
1 0 3, 29.94, 89.9
0 3 3, 35.70, 70.6
1 2 3, 35.43, 69.3
2 0 0, 41.22, 68.1
1 3 2, 37.83, 48.2
2 3 3, 55.65, 39.8
1 6 3, 66.36, 31.1
1 4 1, 43.68, 28.8
0 6 0, 57.65, 28.3

a = 4.380 Å, b = 9.587 Å, c = 12.233 Å
α = 90.00°, β = 90.00°, γ = 90.00°
Space group Immm (No. 71)
Inequivalent atoms, fractional coordinates:
Er (0.000, 0.000, 0.000) x2
Er (0.000, 0.000, 0.311) x4
Ni (0.000, 0.174, 0.500) x4
Ni (0.000, 0.276, 0.116) x8
Sn (0.000, 0.343, 0.332) x8
Sn (0.000, 0.500, 0.000) x2

=====

Simulated powder diffraction line list of KH4F5 for Cu Kα (weighted mean of Kα1 and Kα2), from a crystal structure in Alexandria, relaxed with GGA-PBE.
Intensities are scaled so that the largest is 100.

The 10 most intense peaks (2θ from 5° to 70°), most intense first:
hkl, two_theta, intensity
1 1 2, 24.21, 100.0
2 0 4, 40.41, 78.1
2 2 0, 39.35, 47.0
3 1 2, 46.74, 26.4
1 2 1, 31.73, 22.7
1 1 4, 35.10, 21.9
2 1 3, 38.01, 14.2
1 1 6, 48.57, 14.1
1 0 1, 15.46, 11.8
1 3 6, 64.20, 11.6

a = 6.477 Å, b = 6.477 Å, c = 12.324 Å
α = 90.00°, β = 90.00°, γ = 90.00°
Space group I4_1/a (No. 88, origin choice 2)
Inequivalent atoms, fractional coordinates:
K (0.000, 0.250, 0.125) x4
H (0.117, 0.094, 0.685) x16
F (0.000, 0.250, 0.625) x4
F (0.197, 0.487, 0.276) x16

=====

Simulated powder diffraction line list of Zn2Sb2O5 for Cu Kα (weighted mean of Kα1 and Kα2), from a crystal structure in Alexandria, relaxed with GGA-PBE.
Intensities are scaled so that the largest is 100.

The 10 most intense peaks (2θ from 5° to 70°), most intense first:
hkl, two_theta, intensity
2 2 0, 27.29, 100.0
0 2 1, 32.65, 81.3
2 0 1, 33.13, 61.9
1 2 0, 21.23, 54.5
4 2 1, 52.39, 30.5
2 4 1, 51.38, 22.0
1 4 1, 48.14, 20.1
2 2 2, 61.96, 19.4
3 4 1, 56.53, 18.8
1 1 0, 13.55, 18.4

a = 9.059 Å, b = 9.438 Å, c = 3.370 Å
α = 90.00°, β = 90.00°, γ = 90.00°
Space group Pbam (No. 55)
Inequivalent atoms, fractional coordinates:
Zn (0.030, 0.234, 0.000) x4
Sb (0.230, 0.954, 0.500) x4
O (0.000, 0.000, 0.500) x2
O (0.088, 0.314, 0.500) x4
O (0.178, 0.835, 0.000) x4

=====

Repeat the fifth record exactly.
Simulated powder diffraction line list of La4Tb2PmDy for Cu Kα (weighted mean of Kα1 and Kα2), from a crystal structure in Alexandria, relaxed with GGA-PBE.
Intensities are scaled so that the largest is 100.

The 10 most intense peaks (2θ from 5° to 70°), most intense first:
hkl, two_theta, intensity
1 1 2, 29.91, 100.0
0 2 0, 34.09, 17.7
2 0 0, 34.36, 17.3
0 0 4, 35.55, 15.8
1 3 2, 58.46, 15.0
3 1 2, 58.81, 14.7
1 1 6, 60.39, 13.6
2 2 0, 49.18, 12.6
2 2 4, 62.14, 12.5
0 2 4, 50.08, 11.9

a = 5.220 Å, b = 5.260 Å, c = 10.102 Å
α = 90.00°, β = 90.00°, γ = 90.00°
Space group Pmmm (No. 47)
Inequivalent atoms, fractional coordinates:
La (0.000, 0.000, 0.248) x2
La (0.500, 0.500, 0.248) x2
Tb (0.000, 0.500, 0.000) x1
Tb (0.500, 0.000, 0.500) x1
Pm (0.000, 0.500, 0.500) x1
Dy (0.500, 0.000, 0.000) x1

=====

Q: Which formula does entry 5 have?
A: La4Tb2PmDy